Record 1
Ac2ZrMnS6: simulated powder diffractogram (a wavelength of 1.5418 Å), based on a DFT-relaxed cell (PBE, Alexandria).
Peak positions follow from Bragg's law for the DFT cell and can differ from measured ones.

Structure:
Unit cell a=6.919 b=9.821 c=7.150 alpha=90.00 beta=90.00 gamma=90.00
Element x y z (fractional)
Ac 0.250 0.037 0.189
Ac 0.250 0.463 0.189
Ac 0.750 0.537 0.811
Ac 0.750 0.963 0.811
Zr 0.250 0.250 0.706
Zr 0.750 0.750 0.294
Mn 0.250 0.750 0.773
Mn 0.750 0.250 0.227
S 0.014 0.750 0.040
S 0.020 0.250 0.434
S 0.250 0.501 0.775
S 0.250 0.999 0.775
S 0.480 0.250 0.434
S 0.486 0.750 0.040
S 0.514 0.250 0.960
S 0.520 0.750 0.566
S 0.750 0.001 0.225
S 0.750 0.499 0.225
S 0.980 0.750 0.566
S 0.986 0.250 0.960

The 8 most intense peaks (2θ from 15° to 90°), by angle:
2θ (°)	d [Å]	I/Imax
17.84	4.972	21
24.91	3.575	23
25.49	3.494	100
25.75	3.460	35
28.10	3.176	20
31.64	2.828	30
36.13	2.486	40
45.26	2.004	31

Record 2
AcMnTe: simulated powder diffractogram (a wavelength of 1.5418 Å), based on a DFT-relaxed cell (PBE, Alexandria).
Peak positions follow from Bragg's law for the DFT cell and can differ from measured ones.

Structure:
Unit cell a=6.742 b=6.742 c=6.248 alpha=117.26 beta=117.26 gamma=98.60
Element x y z (fractional)
Ac 0.250 0.750 0.000
Ac 0.750 0.250 0.000
Mn 0.128 0.872 0.500
Mn 0.872 0.128 0.500
Te 0.275 0.275 0.499
Te 0.725 0.725 0.501

The 8 most intense peaks (2θ from 15° to 90°), by angle:
2θ (°)	d [Å]	I/Imax
20.20	4.396	60
26.57	3.355	93
33.60	2.667	100
40.57	2.224	21
40.84	2.209	39
49.58	1.839	30
58.93	1.567	27
62.04	1.496	18

Record 3
AcMnZn: simulated powder diffractogram (a wavelength of 1.5418 Å), based on a DFT-relaxed cell (PBE, Alexandria).
Peak positions follow from Bragg's law for the DFT cell and can differ from measured ones.

Structure:
Unit cell a=14.317 b=14.317 c=14.317 alpha=23.33 beta=23.33 gamma=23.33
Element x y z (fractional)
Ac 0.043 0.043 0.043
Ac 0.178 0.178 0.178
Ac 0.260 0.260 0.260
Ac 0.740 0.740 0.740
Ac 0.822 0.822 0.822
Ac 0.957 0.957 0.957
Mn 0.240 0.712 0.712
Mn 0.288 0.288 0.760
Mn 0.288 0.760 0.288
Mn 0.712 0.240 0.712
Mn 0.712 0.712 0.240
Mn 0.760 0.288 0.288
Zn 0.000 0.500 0.500
Zn 0.391 0.391 0.391
Zn 0.500 0.000 0.500
Zn 0.500 0.500 0.000
Zn 0.500 0.500 0.500
Zn 0.609 0.609 0.609

The 8 most intense peaks (2θ from 15° to 90°), by angle:
2θ (°)	d [Å]	I/Imax
30.89	2.895	82
33.12	2.705	37
35.00	2.564	53
36.59	2.456	100
36.87	2.438	24
57.63	1.600	27
58.72	1.572	26
64.37	1.447	23